Structure and theoretical X-ray powder pattern of Pu2TcGe6Ir (a cell relaxed with PBE; Cu Kα (λ = 1.5418 Å)).
Lines closer than 0.1° are merged.

Cell and atoms:
a b c (Å): 5.7177 5.7177 45.7255
angles (deg): 90.00 90.00 120.00
Space group R-3m (No. 166, hexagonal axes)
Symmetry-distinct sites (fractional):
1 Pu 0.0000 0.0000 0.0607 (multiplicity 6)
2 Pu 0.0000 0.0000 0.4112 (multiplicity 6)
3 Tc 0.0000 0.0000 0.0000 (multiplicity 3)
4 Tc 0.0000 0.0000 0.5000 (multiplicity 3)
5 Ge 0.0162 0.5081 0.7928 (multiplicity 18)
6 Ge 0.0224 0.5112 0.9727 (multiplicity 18)
7 Ir 0.0000 0.0000 0.1670 (multiplicity 6)

Most intense lines, 10 to 80 degrees two-theta, by angle:
hkl 0 1 2, 2θ = 18.33°, I 61; hkl 1 1 0, 2θ = 31.29°, I 97; hkl 1 1 9, 2θ = 36.05°, I 100; hkl 2 0 5, 2θ = 37.64°, I 56; hkl 0 1 17, 2θ = 38.07°, I 76; hkl 1 1 12, 2θ = 39.40°, I 92; hkl 1 2 17, 2θ = 60.24°, I 41; hkl 2 2 0, 2θ = 65.27°, I 44

***

Structure and theoretical X-ray powder pattern of TmFe12Si6 (a cell relaxed with PBE; Cu Kα (λ = 1.5418 Å)).
Lines closer than 0.1° are merged.

Cell and atoms:
a b c (Å): 10.3862 10.3862 7.9141
angles (deg): 90.00 90.00 120.00
Space group R-3m (No. 166, hexagonal axes)
Symmetry-distinct sites (fractional):
1 Tm 0.0000 0.0000 0.0000 (multiplicity 3)
2 Fe 0.0000 0.3793 0.5000 (multiplicity 18)
3 Fe 0.0884 0.1768 0.3406 (multiplicity 18)
4 Si 0.0251 0.5125 0.2630 (multiplicity 18)

Most intense lines, 10 to 80 degrees two-theta, by angle:
hkl 2 1 1, 2θ = 28.58°, I 17; hkl 3 0 0, 2θ = 29.80°, I 18; hkl 1 3 1, 2θ = 37.81°, I 100; hkl 1 1 3, 2θ = 38.27°, I 55; hkl 3 1 2, 2θ = 42.85°, I 28; hkl 0 2 4, 2θ = 50.39°, I 19; hkl 5 0 2, 2θ = 56.17°, I 28; hkl 3 1 5, 2θ = 70.45°, I 17

***

Structure and theoretical X-ray powder pattern of HfScBe (a cell relaxed with PBE; Cu Kα (λ = 1.5418 Å)).
Lines closer than 0.1° are merged.

Cell and atoms:
a b c (Å): 3.1129 3.1129 11.2890
angles (deg): 90.00 90.00 90.00
Space group I4mm (No. 107)
Symmetry-distinct sites (fractional):
1 Hf 0.0000 0.0000 0.0000 (multiplicity 2)
2 Sc 0.0000 0.0000 0.7066 (multiplicity 2)
3 Be 0.0000 0.0000 0.3584 (multiplicity 2)

Most intense lines, 10 to 80 degrees two-theta, by angle:
hkl 0 0 2, 2θ = 15.70°, I 77; hkl 1 0 1, 2θ = 29.77°, I 100; hkl 0 0 4, 2θ = 31.70°, I 30; hkl 1 0 3, 2θ = 37.50°, I 94; hkl 1 1 0, 2θ = 41.00°, I 40; hkl 1 1 4, 2θ = 52.74°, I 29; hkl 1 0 7, 2θ = 65.19°, I 32; hkl 2 1 3, 2θ = 72.38°, I 27

***

Structure and theoretical X-ray powder pattern of Cd3InHg8 (a cell relaxed with PBE; Cu Kα (λ = 1.5418 Å)).
Lines closer than 0.1° are merged.

Cell and atoms:
a b c (Å): 10.8664 9.1812 7.9938
angles (deg): 90.00 124.51 90.00
Space group Cm (No. 8)
Symmetry-distinct sites (fractional):
1 Cd 0.0000 0.0000 0.0000 (multiplicity 2)
2 Cd 0.2793 0.2164 0.1744 (multiplicity 4)
3 In 0.3012 0.0000 0.5319 (multiplicity 2)
4 Hg 0.0386 0.5000 0.4096 (multiplicity 2)
5 Hg 0.1648 0.5000 0.8659 (multiplicity 2)
6 Hg 0.1685 0.0000 0.8005 (multiplicity 2)
7 Hg 0.3291 0.3273 0.5755 (multiplicity 4)
8 Hg 0.4572 0.5000 0.3387 (multiplicity 2)
9 Hg 0.4726 0.1725 0.0102 (multiplicity 4)

Most intense lines, 10 to 80 degrees two-theta, by angle:
hkl 2 2 -1, 2θ = 25.50°, I 75; hkl 1 3 -1, 2θ = 31.38°, I 46; hkl 0 2 2, 2θ = 33.49°, I 66; hkl 2 0 -3, 2θ = 33.78°, I 100; hkl 4 0 -1, 2θ = 34.23°, I 63; hkl 1 3 1, 2θ = 36.10°, I 74; hkl 3 3 -2, 2θ = 39.91°, I 61; hkl 2 0 2, 2θ = 42.29°, I 67

***

Structure and theoretical X-ray powder pattern of AcCdCuPd3 (a cell relaxed with PBE; Cu Kα (λ = 1.5418 Å)).
Lines closer than 0.1° are merged.

Cell and atoms:
a b c (Å): 5.9278 12.3635 6.9800
angles (deg): 90.00 90.00 90.00
Space group Cmcm (No. 63)
Symmetry-distinct sites (fractional):
1 Ac 0.0000 0.1786 0.2500 (multiplicity 4)
2 Cd 0.0000 0.1371 0.7500 (multiplicity 4)
3 Cu 0.0000 0.4188 0.2500 (multiplicity 4)
4 Pd 0.0000 0.3596 0.7500 (multiplicity 4)
5 Pd 0.2431 0.0000 0.0000 (multiplicity 8)

Most intense lines, 10 to 80 degrees two-theta, by angle:
hkl 0 0 2, 2θ = 25.52°, I 27; hkl 1 3 0, 2θ = 26.34°, I 25; hkl 0 2 2, 2θ = 29.38°, I 62; hkl 0 4 1, 2θ = 31.66°, I 28; hkl 2 2 0, 2θ = 33.53°, I 38; hkl 0 4 2, 2θ = 38.92°, I 52; hkl 2 0 2, 2θ = 39.91°, I 100; hkl 2 4 0, 2θ = 42.25°, I 41

***

Structure and theoretical X-ray powder pattern of LaTbYCd (a cell relaxed with PBE; Cu Kα (λ = 1.5418 Å)).
Lines closer than 0.1° are merged.

Cell and atoms:
a b c (Å): 3.6713 3.6713 9.1017
angles (deg): 90.00 90.00 90.00
Space group P4mm (No. 99)
Symmetry-distinct sites (fractional):
1 La 0.0000 0.0000 0.0000 (multiplicity 1)
2 Tb 0.5000 0.5000 0.7178 (multiplicity 1)
3 Y 0.5000 0.5000 0.2863 (multiplicity 1)
4 Cd 0.0000 0.0000 0.5014 (multiplicity 1)

Most intense lines, 10 to 80 degrees two-theta, by angle:
hkl 1 0 1, 2θ = 26.17°, I 7; hkl 1 0 2, 2θ = 31.30°, I 100; hkl 1 1 0, 2θ = 34.55°, I 42; hkl 0 0 4, 2θ = 39.61°, I 10; hkl 2 0 0, 2θ = 49.67°, I 15; hkl 1 1 4, 2θ = 53.55°, I 16; hkl 2 1 2, 2θ = 59.89°, I 31; hkl 2 0 4, 2θ = 65.31°, I 9

***

Structure and theoretical X-ray powder pattern of PmSm7Ho2 (a cell relaxed with PBE; Cu Kα (λ = 1.5418 Å)).
Lines closer than 0.1° are merged.

Cell and atoms:
a b c (Å): 6.2481 7.2112 8.0735
angles (deg): 77.08 75.02 73.34
Space group P-1 (No. 2)
Symmetry-distinct sites (fractional):
1 Pm 0.0000 0.0000 0.0000 (multiplicity 1)
2 Sm 0.0000 0.5000 0.0000 (multiplicity 1)
3 Sm 0.1999 0.3000 0.5992 (multiplicity 2)
4 Sm 0.4003 0.0996 0.2010 (multiplicity 2)
5 Sm 0.4011 0.5996 0.2015 (multiplicity 2)
6 Ho 0.1988 0.8009 0.5990 (multiplicity 2)

Most intense lines, 10 to 80 degrees two-theta, by angle:
hkl 2 0 1, 2θ = 30.34°, I 100; hkl 2 2 0, 2θ = 35.17°, I 51; hkl 3 2 3, 2θ = 50.59°, I 36; hkl 3 0 4, 2θ = 60.10°, I 29; hkl 4 2 1, 2θ = 60.20°, I 14; hkl 4 0 2, 2θ = 63.11°, I 12; hkl 2 0 6, 2θ = 74.29°, I 4; hkl 4 4 0, 2θ = 74.47°, I 2

***

Structure and theoretical X-ray powder pattern of La5Sm5Sb6 (a cell relaxed with PBE; Cu Kα (λ = 1.5418 Å)).
Lines closer than 0.1° are merged.

Cell and atoms:
a b c (Å): 6.5345 16.3405 9.3772
angles (deg): 90.00 90.00 90.00
Space group Amm2 (No. 38)
Symmetry-distinct sites (fractional):
1 La 0.0000 0.0000 0.0000 (multiplicity 2)
2 La 0.2504 0.1657 0.7478 (multiplicity 8)
3 Sm 0.0000 0.1266 0.3736 (multiplicity 4)
4 Sm 0.5000 0.0000 0.4943 (multiplicity 2)
5 Sm 0.5000 0.1271 0.1219 (multiplicity 4)
6 Sb 0.0000 0.0000 0.6245 (multiplicity 2)
7 Sb 0.0000 0.1930 0.0580 (multiplicity 4)
8 Sb 0.5000 0.0000 0.8681 (multiplicity 2)
9 Sb 0.5000 0.1903 0.4380 (multiplicity 4)

Most intense lines, 10 to 80 degrees two-theta, by angle:
hkl 2 0 0, 2θ = 27.30°, I 23; hkl 0 4 2, 2θ = 28.96°, I 22; hkl 1 4 2, 2θ = 32.10°, I 78; hkl 1 1 3, 2θ = 32.22°, I 36; hkl 0 6 0, 2θ = 32.89°, I 24; hkl 0 3 3, 2θ = 33.04°, I 48; hkl 2 3 1, 2θ = 33.39°, I 100; hkl 3 4 2, 2θ = 51.41°, I 23

***

What did the second record say?
Structure and theoretical X-ray powder pattern of TmFe12Si6 (a cell relaxed with PBE; Cu Kα (λ = 1.5418 Å)).
Lines closer than 0.1° are merged.

Cell and atoms:
a b c (Å): 10.3862 10.3862 7.9141
angles (deg): 90.00 90.00 120.00
Space group R-3m (No. 166, hexagonal axes)
Symmetry-distinct sites (fractional):
1 Tm 0.0000 0.0000 0.0000 (multiplicity 3)
2 Fe 0.0000 0.3793 0.5000 (multiplicity 18)
3 Fe 0.0884 0.1768 0.3406 (multiplicity 18)
4 Si 0.0251 0.5125 0.2630 (multiplicity 18)

Most intense lines, 10 to 80 degrees two-theta, by angle:
hkl 2 1 1, 2θ = 28.58°, I 17; hkl 3 0 0, 2θ = 29.80°, I 18; hkl 1 3 1, 2θ = 37.81°, I 100; hkl 1 1 3, 2θ = 38.27°, I 55; hkl 3 1 2, 2θ = 42.85°, I 28; hkl 0 2 4, 2θ = 50.39°, I 19; hkl 5 0 2, 2θ = 56.17°, I 28; hkl 3 1 5, 2θ = 70.45°, I 17

***

Q: What is the formula in the seventh record?
A: PmSm7Ho2

***

Q: Which formula does entry 3 have?
A: HfScBe